(1)
Starting from a GGA-PBE-relaxed structure, the X-ray diffraction stick pattern of Pm2Y5Tm was simulated for copper Kα.

Main lines, in order of falling intensity (10° ≤ 2θ ≤ 90°):
(1 8 0), 31.56 deg, rel. 100; (1 2 2), 30.57 deg, rel. 91; (2 0 0), 32.09 deg, rel. 50; (0 6 2), 32.39 deg, rel. 42; (2 6 2), 46.24 deg, rel. 31; (1 8 4), 61.54 deg, rel. 29; (1 6 2), 36.28 deg, rel. 24; (3 8 0), 56.87 deg, rel. 18; (0 10 2), 42.72 deg, rel. 16; (3 2 2), 56.26 deg, rel. 16

Structure:
Cell lengths 5.578, 26.332, 7.116 Å; angles 90.00, 90.00, 90.00 degrees
Space group Ama2 (No. 40)
Asymmetric unit:
1 Pm 0.250 0.031 0.000 x4
2 Pm 0.250 0.282 0.749 x4
3 Y 0.250 0.033 0.502 x4
4 Y 0.250 0.161 0.999 x4
5 Y 0.250 0.162 0.501 x4
6 Y 0.250 0.283 0.250 x4
7 Y 0.250 0.412 0.752 x4
8 Tm 0.250 0.413 0.251 x4

---

(2)
Starting from a GGA-PBE-relaxed structure, the X-ray diffraction stick pattern of Pm9Y2Tm3 was simulated for copper Kα.

Main lines, in order of falling intensity (10° ≤ 2θ ≤ 90°):
(2 1 2), 32.94 deg, rel. 100; (2 1 1), 30.96 deg, rel. 69; (2 0 3), 29.86 deg, rel. 39; (0 0 4), 25.51 deg, rel. 32; (2 1 3), 36.02 deg, rel. 31; (1 4 0), 53.78 deg, rel. 30; (1 0 5), 34.09 deg, rel. 20; (1 4 4), 60.44 deg, rel. 19; (1 3 5), 53.53 deg, rel. 16; (2 1 9), 68.24 deg, rel. 15

Structure:
Cell lengths 9.0194, 9.0194, 13.9676 Å; angles 90.00, 90.00, 120.00 degrees
Space group P6_3/m (No. 176)
Asymmetric unit:
1 Pm 0.0817 0.4816 0.2500 x6
2 Pm 0.1325 0.7250 0.0424 x12
3 Y 0.3333 0.6667 0.6423 x4
4 Tm 0.0764 0.2493 0.7500 x6

---

(3)
Starting from a GGA-PBE-relaxed structure, the X-ray diffraction stick pattern of Pm3Y6Tm2 was simulated for copper Kα.

Main lines, in order of falling intensity (10° ≤ 2θ ≤ 90°):
(0 1 11), 30.59 deg, rel. 100; (1 0 22), 35.51 deg, rel. 67; (2 0 11), 60.70 deg, rel. 41; (0 0 33), 30.75 deg, rel. 33; (1 1 0), 50.99 deg, rel. 24; (0 1 44), 51.20 deg, rel. 23; (1 0 55), 60.92 deg, rel. 13; (0 2 22), 63.67 deg, rel. 12; (1 2 11), 83.12 deg, rel. 11; (2 1 22), 85.82 deg, rel. 11

Structure:
Cell lengths 3.5822, 3.5822, 95.9612 Å; angles 90.00, 90.00, 120.00 degrees
Space group R-3m (No. 166, hexagonal axes)
Asymmetric unit:
1 Pm 0.0000 0.0000 0.0000 x3
2 Pm 0.0000 0.0000 0.2722 x6
3 Y 0.0000 0.0000 0.0919 x6
4 Y 0.0000 0.0000 0.1819 x6
5 Y 0.0000 0.0000 0.3639 x6
6 Tm 0.0000 0.0000 0.4550 x6

---

(4)
Starting from a GGA-PBE-relaxed structure, the X-ray diffraction stick pattern of PmY8Tm6 was simulated for copper Kα.

Main lines, in order of falling intensity (10° ≤ 2θ ≤ 90°):
(1 2 1), 32.24 deg, rel. 100; (2 -1 2), 33.43 deg, rel. 84; (3 0 0), 33.12 deg, rel. 50; (2 0 1), 25.85 deg, rel. 34; (1 2 0), 29.12 deg, rel. 33; (5 -3 1), 51.01 deg, rel. 26; (0 0 1), 13.54 deg, rel. 22; (3 -1 2), 40.33 deg, rel. 17; (1 0 2), 29.46 deg, rel. 15; (5 -4 1), 53.63 deg, rel. 14

Structure:
Cell lengths 9.3689, 9.3689, 6.5380 Å; angles 90.00, 90.00, 120.00 degrees
Space group P-3 (No. 147)
Asymmetric unit:
1 Pm 0.0000 0.0000 0.0000 x1
2 Y 0.0285 0.6885 0.5994 x6
3 Y 0.3333 0.6667 0.3181 x2
4 Tm 0.0900 0.4118 0.9075 x6

---

(5)
Starting from a GGA-PBE-relaxed structure, the X-ray diffraction stick pattern of Pm2Y3Tm6Zr was simulated for copper Kα.

Main lines, in order of falling intensity (10° ≤ 2θ ≤ 90°):
(1 3 1), 31.26 deg, rel. 100; (2 0 2), 36.25 deg, rel. 50; (0 6 0), 52.19 deg, rel. 29; (4 0 0), 62.08 deg, rel. 24; (0 6 4), 62.16 deg, rel. 17; (2 6 2), 65.17 deg, rel. 9; (4 6 0), 85.30 deg, rel. 9; (1 9 -3), 88.19 deg, rel. 8; (2 6 6), 85.44 deg, rel. 7; (2 0 -6), 52.25 deg, rel. 6

Structure:
Cell lengths 6.078, 10.515, 11.605 Å; angles 90.00, 100.01, 90.00 degrees
Space group C2/m (No. 12)
Asymmetric unit:
1 Pm 0.000 0.167 0.000 x4
2 Y 0.000 0.000 0.500 x2
3 Y 0.000 0.334 0.500 x4
4 Tm 0.244 0.500 0.755 x4
5 Tm 0.245 0.337 0.246 x8
6 Zr 0.000 0.500 0.000 x2

---

(6)
Starting from a GGA-PBE-relaxed structure, the X-ray diffraction stick pattern of Pm3TmZn8 was simulated for copper Kα.

Main lines, in order of falling intensity (10° ≤ 2θ ≤ 90°):
(2 0 2), 38.22 deg, rel. 100; (1 1 0), 32.40 deg, rel. 38; (0 1 8), 32.50 deg, rel. 37; (1 0 10), 38.33 deg, rel. 34; (2 1 10), 61.73 deg, rel. 32; (3 0 0), 57.83 deg, rel. 22; (0 2 4), 39.98 deg, rel. 19; (2 2 0), 67.83 deg, rel. 16; (0 2 16), 68.06 deg, rel. 16; (0 1 2), 19.70 deg, rel. 10

Structure:
Cell lengths 5.5267, 5.5267, 26.9536 Å; angles 90.00, 90.00, 120.00 degrees
Space group R3m (No. 160, hexagonal axes)
Asymmetric unit:
1 Pm 0.0000 0.0000 0.0000 x3
2 Pm 0.0000 0.0000 0.1249 x3
3 Pm 0.0000 0.0000 0.4992 x3
4 Tm 0.0000 0.0000 0.6238 x3
5 Zn 0.0000 0.0000 0.3122 x3
6 Zn 0.0000 0.0000 0.8118 x3
7 Zn 0.0016 0.5008 0.5631 x9
8 Zn 0.1677 0.3355 0.3942 x9